(1)
For Ag7AsS6, a GGA-PBE-relaxed structure gives the theoretical PXRD pattern in this record (Cu Kα).
Neutral-atom scattering factors, no anomalous dispersion.

```
data_Ag7AsS6
_cell_length_a 10.6473
_cell_length_b 10.6473
_cell_length_c 10.6473
_cell_angle_alpha 90.00
_cell_angle_beta 90.00
_cell_angle_gamma 90.00
_symmetry_space_group_name_H-M 'P 21 3'
_symmetry_Int_Tables_number 198
_symmetry_space_group_name_Hall 'P 2ac 2ab 3'
loop_
_atom_site_label
_atom_site_type_symbol
_atom_site_fract_x
_atom_site_fract_y
_atom_site_fract_z
_atom_site_occupancy
Ag1 Ag 0.0113 0.1491 0.8230 1
Ag2 Ag 0.0280 0.7340 0.2565 1
Ag3 Ag 0.1027 0.3973 0.6027 1
As1 As 0.0045 0.9955 0.4955 1
S1 S 0.0281 0.0281 0.0281 1
S2 S 0.1160 0.8695 0.6177 1
S3 S 0.1167 0.6167 0.8833 1
S4 S 0.2346 0.2654 0.7346 1
```

Peak list (6 most intense, 2θ = 5–70°, most intense first)
2θ (°)	I_rel	index
29.05	100	2 2 2
35.78	51	4 1 1
31.44	43	3 2 1
25.09	38	2 2 1
30.27	35	3 2 0
48.36	32	4 4 0

=====

(2)
For Ag3AsS3, a GGA-PBE-relaxed structure gives the theoretical PXRD pattern in this record (Cu Kα).
Neutral-atom scattering factors, no anomalous dispersion.

```
data_Ag3AsS3
_cell_length_a 11.6518
_cell_length_b 11.6518
_cell_length_c 8.6965
_cell_angle_alpha 90.00
_cell_angle_beta 90.00
_cell_angle_gamma 120.00
_symmetry_space_group_name_H-M 'R 3 c'
_symmetry_Int_Tables_number 161
_symmetry_space_group_name_Hall 'R 3 -2"c'
loop_
_atom_site_label
_atom_site_type_symbol
_atom_site_fract_x
_atom_site_fract_y
_atom_site_fract_z
_atom_site_occupancy
Ag1 Ag 0.1323 0.3564 0.0000 1
As1 As 0.0000 0.0000 0.1873 1
S1 S 0.1939 0.4631 0.7445 1
```

Peak list (6 most intense, 2θ = 5–70°, most intense first)
2θ (°)	I_rel	index
27.07	100	2 0 2
30.69	48	2 2 0
25.50	46	2 1 1
45.43	35	0 2 4
33.64	32	1 3 1
41.38	27	0 4 2

=====

(3)
For Ag3AsS3, a GGA-PBE-relaxed structure gives the theoretical PXRD pattern in this record (Cu Kα).
Neutral-atom scattering factors, no anomalous dispersion.

```
data_Ag3AsS3
_cell_length_a 10.7648
_cell_length_b 10.7648
_cell_length_c 9.5834
_cell_angle_alpha 90.00
_cell_angle_beta 90.00
_cell_angle_gamma 120.00
_symmetry_space_group_name_H-M 'R 3 c'
_symmetry_Int_Tables_number 161
_symmetry_space_group_name_Hall 'R 3 -2"c'
loop_
_atom_site_label
_atom_site_type_symbol
_atom_site_fract_x
_atom_site_fract_y
_atom_site_fract_z
_atom_site_occupancy
Ag1 Ag 0.0356 0.4106 0.0000 1
As1 As 0.0000 0.0000 0.1113 1
S1 S 0.2179 0.1059 0.9970 1
```

Peak list (6 most intense, 2θ = 5–70°, most intense first)
2θ (°)	I_rel	index
32.60	100	1 1 3
26.96	77	2 1 1
31.52	63	1 2 2
28.73	53	3 0 0
35.98	44	1 3 1
46.50	37	2 3 2

=====

(4)
For Ag3AsS3, a GGA-PBE-relaxed structure gives the theoretical PXRD pattern in this record (Cu Kα).
Neutral-atom scattering factors, no anomalous dispersion.

```
data_Ag3AsS3
_cell_length_a 12.1901
_cell_length_b 6.4090
_cell_length_c 17.2151
_cell_angle_alpha 90.00
_cell_angle_beta 110.19
_cell_angle_gamma 90.00
_symmetry_space_group_name_H-M 'C 1 2/c 1'
_symmetry_Int_Tables_number 15
_symmetry_space_group_name_Hall '-C 2yc'
loop_
_atom_site_label
_atom_site_type_symbol
_atom_site_fract_x
_atom_site_fract_y
_atom_site_fract_z
_atom_site_occupancy
Ag1 Ag 0.0650 0.0762 0.4376 1
Ag2 Ag 0.1374 0.0323 0.7154 1
Ag3 Ag 0.1410 0.4576 0.3657 1
As1 As 0.1437 0.4461 0.0720 1
S1 S 0.0714 0.3543 0.1733 1
S2 S 0.1547 0.1912 0.5858 1
S3 S 0.1655 0.1435 0.8592 1
```

Peak list (6 most intense, 2θ = 5–70°, most intense first)
2θ (°)	I_rel	index
29.57	100	3 1 -4
29.38	83	1 1 4
31.27	58	4 0 0
27.84	52	0 2 0
31.50	40	2 0 -6
26.12	28	3 1 -2